(1)
Starting from DFT lattice parameters and positions (PBE+U), the X-ray diffraction stick pattern of CdCo3P8O24 was simulated for Cu Ka.
Peak positions follow from Bragg's law for the DFT cell and can differ from measured ones.

Cell and atoms:
```
data_CdCo3P8O24
_symmetry_space_group_name_H-M 'C 1 2 1'
_symmetry_Int_Tables_number 5
_cell_length_a 12.089
_cell_length_b 8.531
_cell_length_c 10.074
_cell_angle_alpha 90.00
_cell_angle_beta 118.07
_cell_angle_gamma 90.00
loop_
_symmetry_equiv_pos_as_xyz
'x,y,z'
'-x,y,-z'
'x+1/2,y+1/2,z'
'-x+1/2,y+1/2,-z'
loop_
_atom_site_label
_atom_site_fract_x
_atom_site_fract_y
_atom_site_fract_z
_atom_site_occupancy
Cd1 0.000 0.000 0.000 1
Co1 0.000 0.897 0.500 1
Co2 0.246 0.702 0.748 1
P1 0.001 0.214 0.715 1
P2 0.013 0.678 0.232 1
P3 0.186 0.439 0.936 1
P4 0.199 0.451 0.454 1
O1 0.030 0.071 0.655 1
O2 0.048 0.707 0.667 1
O3 0.048 0.814 0.170 1
O4 0.057 0.201 0.180 1
O5 0.073 0.559 0.902 1
O6 0.088 0.327 0.423 1
O7 0.128 0.315 0.799 1
O8 0.138 0.575 0.319 1
O9 0.200 0.867 0.570 1
O10 0.215 0.029 0.084 1
O11 0.223 0.364 0.084 1
O12 0.234 0.526 0.601 1
```

Principal peaks in the range 15 to 90 degrees two-theta, in order of falling intensity:
| 2theta | I_rel | h k l |
| --- | --- | --- |
| 29.0 | 100 | 0 2 2 |
| 20.5 | 53 | 1 1 -2 |
| 27.2 | 38 | 3 1 0 |
| 25.8 | 34 | 3 1 -2 |
| 36.7 | 27 | 4 2 -2 |
| 33.6 | 25 | 4 0 0 |
| 30.6 | 23 | 3 1 -3 |
| 42.0 | 22 | 1 3 -3 |
| 54.7 | 18 | 1 5 -1 |
| 24.5 | 16 | 3 1 -1 |

(2)
Starting from DFT lattice parameters and positions (PBE+U), the X-ray diffraction stick pattern of Na3CoBi3O8 was simulated for Cu Ka.
Peak positions follow from Bragg's law for the DFT cell and can differ from measured ones.

Cell and atoms:
```
data_Na3CoBi3O8
_symmetry_space_group_name_H-M 'C 1 2/m 1'
_symmetry_Int_Tables_number 12
_cell_length_a 11.766
_cell_length_b 6.817
_cell_length_c 6.875
_cell_angle_alpha 90.00
_cell_angle_beta 124.62
_cell_angle_gamma 90.00
loop_
_symmetry_equiv_pos_as_xyz
'x,y,z'
'-x,-y,-z'
'-x,y,-z'
'x,-y,z'
'x+1/2,y+1/2,z'
'-x+1/2,-y+1/2,-z'
'-x+1/2,y+1/2,-z'
'x+1/2,-y+1/2,z'
loop_
_atom_site_label
_atom_site_fract_x
_atom_site_fract_y
_atom_site_fract_z
_atom_site_occupancy
Na1 0.000 0.000 0.000 1
Na2 0.250 0.250 0.000 1
Co1 0.000 0.000 0.500 1
Bi1 0.000 0.500 0.500 1
Bi2 0.250 0.250 0.500 1
O1 0.013 0.222 0.303 1
O2 0.224 0.000 0.704 1
O3 0.247 0.500 0.737 1
```

Principal peaks in the range 15 to 90 degrees two-theta, in order of falling intensity:
| 2theta | I_rel | h k l |
| --- | --- | --- |
| 15.7 | 100 | 0 0 1 |
| 37.1 | 69 | 4 0 0 |
| 30.8 | 52 | 4 0 -1 |
| 32.1 | 34 | 2 2 0 |
| 48.6 | 19 | 4 0 1 |
| 31.6 | 19 | 0 0 2 |
| 32.2 | 17 | 4 0 -2 |
| 53.9 | 15 | 6 2 -2 |
| 53.1 | 15 | 2 2 2 |
| 56.5 | 15 | 6 2 -1 |